For Fe7Co, a cell relaxed with GGA-PBE gives the calculated XRD peak list in this record (Cu Ka).
Peak positions follow from Bragg's law for the DFT cell and can differ from measured ones.

Atomic structure:
```
data_Fe7Co
_symmetry_space_group_name_H-M 'R -3 m'
_symmetry_Int_Tables_number 166
_symmetry_space_group_name_Hall '-R 3 2"'
_cell_length_a 4.0225
_cell_length_b 4.0225
_cell_length_c 19.7158
_cell_angle_alpha 90.00
_cell_angle_beta 90.00
_cell_angle_gamma 120.00
loop_
_atom_site_label
_atom_site_type_symbol
_atom_site_fract_x
_atom_site_fract_y
_atom_site_fract_z
Fe1 Fe 0.0000 0.0000 0.0000
Fe2 Fe 0.0000 0.0000 0.1254
Fe3 Fe 0.0000 0.0000 0.2504
Fe4 Fe 0.0000 0.0000 0.3754
Co1 Co 0.0000 0.0000 0.5000
```

Most intense lines, 2θ from 10° to 80°, by angle:
d (Å)	I/Imax	(hkl)
2.012	100	1 1 0
1.422	15	2 0 8